Simulated PXRD pattern of ErFe10Si2 for Cu Kα X-rays, from a structure optimized by DFT (PBE).
Peak positions follow from Bragg's law for the DFT cell and can differ from measured ones.

Atomic structure:
Cell: 4.7477 8.2783 8.3302 Å, 90.00 90.00 90.00°
Space group Immm (No. 71)
Unique sites:
1 Er 0.0000 0.0000 0.0000 (multiplicity 2)
2 Fe 0.0000 0.0000 0.3610 (multiplicity 4)
3 Fe 0.0000 0.2911 0.5000 (multiplicity 4)
4 Fe 0.0000 0.3545 0.0000 (multiplicity 4)
5 Fe 0.2500 0.2500 0.2500 (multiplicity 8)
6 Si 0.0000 0.5000 0.2666 (multiplicity 4)

Peak list (6 most intense, 5° ≤ 2θ ≤ 70°, by intensity)
Position (°2θ)	intensity	index
43.69	100	1 3 2
43.93	89	2 0 2
37.71	48	1 3 0
43.45	30	0 0 4
30.47	27	0 2 2
43.74	25	0 4 0